Structure and computed XRD peak list of Sr3B8Pd (DFT lattice parameters and positions (PBE); λ = 1.5418 Å (Cu Kα)).

Crystal structure
```
Sr3B8Pd
1.0
2.4751 1.4290 9.9300
-2.4751 1.4290 9.9300
0.0000 -2.8580 9.9300
Sr B Pd
3 8 1
direct
0.0000 0.0000 0.0000
0.2186 0.2186 0.2186
0.7814 0.7814 0.7814
0.0741 0.4216 0.4216
0.3581 0.3581 0.3581
0.4216 0.0741 0.4216
0.4216 0.4216 0.0741
0.5784 0.5784 0.9259
0.5784 0.9259 0.5784
0.6419 0.6419 0.6419
0.9259 0.5784 0.5784
0.5000 0.5000 0.5000
```

Peak list (10 most intense, 2θ from 15° to 90°, by angle)
2θ (°)	I_rel
17.87	223
23.95	1000
29.58	250
31.83	176
36.30	550
36.74	266
43.96	233
47.72	234
58.28	152
73.46	142